Computed X-ray diffraction stick pattern
Compound: Mg6MnCuO8
Radiation: a wavelength of 1.5418 Å
Structure: DFT lattice parameters and positions (PBE+U)

Main lines, sorted by position (10° ≤ 2θ ≤ 80°):
2θ (°), d [Å], I (rel.), (hkl)
20.54, 4.323, 11, 0 0 2
20.81, 4.268, 22, 1 0 0
29.41, 3.037, 19, 1 0 2
29.60, 3.018, 9, 1 1 0
36.30, 2.475, 41, 1 1 2
41.79, 2.162, 52, 0 0 4
42.35, 2.134, 100, 2 0 0
61.01, 1.519, 58, 2 0 4
61.45, 1.509, 28, 2 2 0
72.72, 1.300, 7, 1 1 6
73.51, 1.288, 13, 3 1 2
77.08, 1.237, 26, 2 2 4

Atomic structure:
```
Mg6MnCuO8
1.0
4.2680 0.0000 0.0000
0.0000 4.2680 0.0000
0.0000 0.0000 8.6463
Mg Mn Cu O
6 1 1 8
Direct
0.0000 0.0000 0.0000
0.0000 0.0000 0.5000
0.0000 0.5000 0.2439
0.0000 0.5000 0.7561
0.5000 0.0000 0.2439
0.5000 0.0000 0.7561
0.5000 0.5000 0.5000
0.5000 0.5000 0.0000
0.0000 0.0000 0.2500
0.0000 0.0000 0.7500
0.0000 0.5000 0.0000
0.0000 0.5000 0.5000
0.5000 0.0000 0.0000
0.5000 0.0000 0.5000
0.5000 0.5000 0.2536
0.5000 0.5000 0.7464
```